Starting from a DFT-relaxed cell (GGA-PBE, Alexandria), the powder XRD pattern of BaBePt was simulated for Cu Kα (weighted mean of Kα1 and Kα2).

Structural model:
abc: 4.051 6.267 6.771
angles: 105.92 90.68 108.37
Space group P1 (No. 1)
Unique sites:
Ba: 0.000 0.000 0.000 (multiplicity 1)
Ba: 0.310 0.634 0.398 (multiplicity 1)
Be: 0.199 0.428 0.821 (multiplicity 1)
Be: 0.611 0.250 0.650 (multiplicity 1)
Pt: 0.046 0.122 0.524 (multiplicity 1)
Pt: 0.718 0.461 0.980 (multiplicity 1)

Largest 10 diffraction maxima, by intensity, 10 to 80 degrees two-theta:
2θ/deg  intensity  (hkl)
27.56  100  0 0 2
30.41  70  0 2 -1
32.25  61  1 1 0
38.25  59  1 -2 2
28.22  58  -1 1 1
32.43  55  1 -2 0
23.31  53  1 -1 0
44.72  51  2 -1 0
28.36  51  1 0 1
37.74  48  1 1 -2

Starting from a DFT-relaxed cell (GGA-PBE, Alexandria), the powder XRD pattern of Sr3Te2O8 was simulated for Cu Kα (weighted mean of Kα1 and Kα2).

Structural model:
abc: 6.2680 6.2680 19.1051
angles: 90.00 90.00 120.00
Space group R-3m (No. 166, hexagonal axes)
Unique sites:
Sr: 0.0000 0.0000 0.0000 (multiplicity 3)
Sr: 0.0000 0.0000 0.2015 (multiplicity 6)
Te: 0.0000 0.0000 0.4229 (multiplicity 6)
O: 0.0000 0.0000 0.3256 (multiplicity 6)
O: 0.0206 0.5103 0.7665 (multiplicity 18)

Largest 10 diffraction maxima, by intensity, 10 to 80 degrees two-theta:
2θ/deg  intensity  (hkl)
28.51  100  1 1 0
50.47  30  3 0 0
40.78  20  2 0 5
58.94  11  2 2 0
66.79  7  3 1 5
16.98  7  1 0 1
41.30  6  0 1 8
18.80  6  0 1 2
52.03  5  1 1 9
50.65  5  1 0 10

Starting from a DFT-relaxed cell (GGA-PBE, Alexandria), the powder XRD pattern of K23Cd6 was simulated for Cu Kα (weighted mean of Kα1 and Kα2).

Structural model:
abc: 18.924 18.924 18.924
angles: 90.00 90.00 90.00
Space group Fm-3m (No. 225)
Unique sites:
K: 0.000 0.000 0.000 (multiplicity 4)
K: 0.000 0.171 0.171 (multiplicity 48)
K: 0.114 0.114 0.386 (multiplicity 32)
K: 0.250 0.250 0.250 (multiplicity 8)
Cd: 0.000 0.000 0.265 (multiplicity 24)

Largest 10 diffraction maxima, by intensity, 10 to 80 degrees two-theta:
2θ/deg  intensity  (hkl)
26.65  100  4 4 0
31.35  91  6 2 2
16.22  72  2 2 2
24.44  64  3 3 3
47.05  48  8 4 4
28.30  31  6 0 0
18.76  31  4 0 0
27.89  28  5 3 1
41.60  27  6 6 2
13.23  26  2 2 0

Starting from a DFT-relaxed cell (GGA-PBE, Alexandria), the powder XRD pattern of La2AlCuS5 was simulated for Cu Kα (weighted mean of Kα1 and Kα2).

Structural model:
abc: 3.998 17.228 11.155
angles: 90.00 90.00 90.00
Space group Cmc2_1 (No. 36)
Unique sites:
La: 0.000 0.113 0.000 (multiplicity 4)
La: 0.000 0.120 0.620 (multiplicity 4)
Al: 0.000 0.406 0.788 (multiplicity 4)
Cu: 0.000 0.246 0.414 (multiplicity 4)
S: 0.000 0.042 0.364 (multiplicity 4)
S: 0.000 0.306 0.648 (multiplicity 4)
S: 0.000 0.311 0.954 (multiplicity 4)
S: 0.000 0.358 0.313 (multiplicity 4)
S: 0.000 0.492 0.611 (multiplicity 4)

Largest 10 diffraction maxima, by intensity, 10 to 80 degrees two-theta:
2θ/deg  intensity  (hkl)
26.12  100  0 2 3
33.31  85  1 1 3
38.06  80  1 5 2
15.89  63  0 0 2
31.64  62  1 3 2
34.36  61  1 5 0
36.52  56  1 3 3
27.94  52  1 1 2
20.62  51  0 4 0
45.36  50  2 0 0

Starting from a DFT-relaxed cell (GGA-PBE, Alexandria), the powder XRD pattern of Pm8Pt2Rh was simulated for Cu Kα (weighted mean of Kα1 and Kα2).

Structural model:
abc: 17.700 5.067 6.972
angles: 90.00 99.15 90.00
Space group C2/m (No. 12)
Unique sites:
Pm: 0.033 0.000 0.279 (multiplicity 4)
Pm: 0.088 0.500 0.943 (multiplicity 4)
Pm: 0.163 0.500 0.467 (multiplicity 4)
Pm: 0.204 0.000 0.832 (multiplicity 4)
Pt: 0.200 0.000 0.241 (multiplicity 4)
Rh: 0.000 0.500 0.500 (multiplicity 2)

Largest 10 diffraction maxima, by intensity, 10 to 80 degrees two-theta:
2θ/deg  intensity  (hkl)
31.12  100  1 1 -2
35.43  64  0 2 0
32.11  52  5 1 -1
32.52  41  1 1 2
35.33  30  6 0 1
38.05  27  5 1 -2
27.85  25  3 1 1
33.16  24  3 1 -2
61.89  20  7 1 3
29.37  18  2 0 2

Starting from a DFT-relaxed cell (GGA-PBE, Alexandria), the powder XRD pattern of CsLi3Tl3 was simulated for Cu Kα (weighted mean of Kα1 and Kα2).

Structural model:
abc: 7.783 7.783 7.783
angles: 90.00 90.00 90.00
Space group Pm-3n (No. 223)
Unique sites:
Cs: 0.000 0.000 0.000 (multiplicity 2)
Li: 0.000 0.250 0.500 (multiplicity 6)
Tl: 0.000 0.500 0.250 (multiplicity 6)

Largest 10 diffraction maxima, by intensity, 10 to 80 degrees two-theta:
2θ/deg  intensity  (hkl)
25.59  100  2 1 0
28.08  59  2 1 1
43.51  36  3 2 1
41.85  28  3 2 0
53.99  27  4 2 1
22.85  25  2 0 0
64.47  24  5 2 0
46.68  19  4 0 0
40.13  16  2 2 2
68.15  12  4 4 0

Starting from a DFT-relaxed cell (GGA-PBE, Alexandria), the powder XRD pattern of Mg6Cd8Hg was simulated for Cu Kα (weighted mean of Kα1 and Kα2).

Structural model:
abc: 7.8221 7.8221 19.1359
angles: 90.00 90.00 120.00
Space group R-3 (No. 148, hexagonal axes)
Unique sites:
Mg: 0.0200 0.7609 0.2087 (multiplicity 18)
Cd: 0.0000 0.0000 0.0884 (multiplicity 6)
Cd: 0.0389 0.2684 0.6321 (multiplicity 18)
Hg: 0.0000 0.0000 0.5000 (multiplicity 3)

Largest 10 diffraction maxima, by intensity, 10 to 80 degrees two-theta:
2θ/deg  intensity  (hkl)
35.39  100  2 0 5
36.33  75  3 -2 2
26.74  50  2 -1 3
16.03  37  0 1 2
39.94  31  3 0 0
64.75  30  5 -3 5
62.90  28  1 4 0
42.48  27  1 2 5
13.88  16  0 0 3
59.72  16  1 3 7

Starting from a DFT-relaxed cell (GGA-PBE, Alexandria), the powder XRD pattern of Ac2Pr5YHo was simulated for Cu Kα (weighted mean of Kα1 and Kα2).

Structural model:
abc: 5.660 22.805 10.514
angles: 90.00 90.00 90.00
Space group Cmcm (No. 63)
Unique sites:
Ac: 0.000 0.116 0.012 (multiplicity 8)
Pr: 0.000 0.003 0.750 (multiplicity 4)
Pr: 0.000 0.278 0.060 (multiplicity 8)
Pr: 0.000 0.378 0.750 (multiplicity 4)
Pr: 0.000 0.500 0.000 (multiplicity 4)
Y: 0.000 0.397 0.250 (multiplicity 4)
Ho: 0.000 0.218 0.750 (multiplicity 4)

Largest 10 diffraction maxima, by intensity, 10 to 80 degrees two-theta:
2θ/deg  intensity  (hkl)
30.37  100  1 5 2
31.62  34  2 0 0
25.93  24  1 3 2
57.76  24  1 13 2
55.52  23  3 5 2
30.25  21  1 1 3
34.11  17  0 0 4
47.19  14  2 0 4
31.38  14  0 8 0
45.14  10  2 8 0